Entry 1:
For Tb2Sm3Hg4, a PBE-relaxed structure gives the computed powder diffraction line list in this record (copper Kα).
Kinematic intensities with the Lorentz-polarization factor, no thermal factor.

The 10 most intense peaks (2θ from 15° to 90°), most intense first:
2theta  Rel. int.  h k l
34.1  100  2 0 2
29.3  54  1 5 1
29.6  47  2 2 1
36.4  40  0 6 2
34.7  35  0 2 3
60.8  27  2 6 4
38.9  26  2 6 0
37.8  23  1 7 1
52.8  17  4 0 0
65.8  16  4 6 2

Crystal structure
```
data_Tb2Sm3Hg4
_chemical_formula_sum 'Tb8 Sm12 Hg16'
_space_group_name_H-M_alt 'C m c e'
_space_group_IT_number 64
_space_group_name_Hall '-C 2ac 2'
_cell_length_a 6.9355
_cell_length_b 18.6885
_cell_length_c 8.0772
_cell_angle_alpha 90.00
_cell_angle_beta 90.00
_cell_angle_gamma 90.00
loop_
_atom_site_label
_atom_site_fract_x
_atom_site_fract_y
_atom_site_fract_z
_atom_site_occupancy
Tb1 0.0000 0.0940 0.0857 1
Sm1 0.0000 0.0000 0.5000 1
Sm2 0.2500 0.2392 0.7500 1
Hg1 0.0000 0.1618 0.4632 1
Hg2 0.2500 0.0705 0.7500 1
```

Entry 2:
For Sm2HgTe, a PBE-relaxed structure gives the computed powder diffraction line list in this record (copper Kα).
Kinematic intensities with the Lorentz-polarization factor, no thermal factor.

The 10 most intense peaks (2θ from 15° to 90°), most intense first:
2theta  Rel. int.  h k l
28.6  100  1 0 4
39.3  43  0 1 8
42.4  35  1 1 0
69.2  24  2 1 4
64.8  20  1 1 12
51.9  19  0 2 4
59.2  13  2 0 8
75.5  13  1 2 8
46.7  9  0 0 12
77.5  6  3 0 0

Crystal structure
```
data_Sm2HgTe
_chemical_formula_sum 'Sm6 Hg3 Te3'
_space_group_name_H-M_alt 'R -3 m'
_space_group_IT_number 166
_space_group_name_Hall '-R 3 2"'
_cell_length_a 4.2658
_cell_length_b 4.2658
_cell_length_c 23.3588
_cell_angle_alpha 90.00
_cell_angle_beta 90.00
_cell_angle_gamma 120.00
loop_
_atom_site_label
_atom_site_fract_x
_atom_site_fract_y
_atom_site_fract_z
_atom_site_occupancy
Sm1 0.0000 0.0000 0.2493 1
Hg1 0.0000 0.0000 0.0000 1
Te1 0.0000 0.0000 0.5000 1
```

Entry 3:
For Sm3HgTe2, a PBE-relaxed structure gives the computed powder diffraction line list in this record (copper Kα).
Kinematic intensities with the Lorentz-polarization factor, no thermal factor.

The 10 most intense peaks (2θ from 15° to 90°), most intense first:
2theta  Rel. int.  h k l
28.5  100  2 0 6
40.7  51  2 4 6
66.8  24  2 8 6
50.1  14  4 4 0
50.9  14  0 4 12
40.3  13  4 0 0
59.0  13  0 8 0
41.2  13  0 0 12
73.5  9  6 4 6
74.8  9  2 4 18

Crystal structure
```
data_Sm3HgTe2
_chemical_formula_sum 'Sm48 Hg16 Te32'
_space_group_name_H-M_alt 'F d d d'
_space_group_IT_number 70
_cell_length_a 8.9552
_cell_length_b 12.5381
_cell_length_c 26.2865
_cell_angle_alpha 90.00
_cell_angle_beta 90.00
_cell_angle_gamma 90.00
loop_
_space_group_symop_operation_xyz
'x,y,z'
'-x,-y,-z'
'-x+1/4,-y+1/4,z'
'x+1/4,y+1/4,-z'
'x,-y+1/4,-z+1/4'
'-x,y+1/4,z+1/4'
'-x+1/4,y,-z+1/4'
'x+1/4,-y,z+1/4'
'x,y+1/2,z+1/2'
'-x,-y+1/2,-z+1/2'
'-x+1/4,-y+3/4,z+1/2'
'x+1/4,y+3/4,-z+1/2'
'x,-y+3/4,-z+3/4'
'-x,y+3/4,z+3/4'
'-x+1/4,y+1/2,-z+3/4'
'x+1/4,-y+1/2,z+3/4'
'x+1/2,y,z+1/2'
'-x+1/2,-y,-z+1/2'
'-x+3/4,-y+1/4,z+1/2'
'x+3/4,y+1/4,-z+1/2'
'x+1/2,-y+1/4,-z+3/4'
'-x+1/2,y+1/4,z+3/4'
'-x+3/4,y,-z+3/4'
'x+3/4,-y,z+3/4'
'x+1/2,y+1/2,z'
'-x+1/2,-y+1/2,-z'
'-x+3/4,-y+3/4,z'
'x+3/4,y+3/4,-z'
'x+1/2,-y+3/4,-z+1/4'
'-x+1/2,y+3/4,z+1/4'
'-x+3/4,y+1/2,-z+1/4'
'x+3/4,-y+1/2,z+1/4'
loop_
_atom_site_label
_atom_site_fract_x
_atom_site_fract_y
_atom_site_fract_z
_atom_site_occupancy
Sm1 0.1216 0.3750 0.3750 1
Sm2 0.1226 0.3735 0.2086 1
Hg1 0.1250 0.1250 0.0415 1
Te1 0.1250 0.1250 0.3764 1
Te2 0.1250 0.1250 0.5430 1
```

Entry 4:
For SmTh3Hg4, a PBE-relaxed structure gives the computed powder diffraction line list in this record (copper Kα).
Kinematic intensities with the Lorentz-polarization factor, no thermal factor.

The 10 most intense peaks (2θ from 15° to 90°), most intense first:
2theta  Rel. int.  h k l
33.1  100  1 0 4
33.4  49  1 1 0
59.5  38  2 1 4
58.9  19  1 1 8
48.0  18  2 0 0
69.4  12  2 0 8
47.0  9  0 0 8
80.0  8  3 1 0
79.8  8  3 0 4
78.3  8  1 0 12

Crystal structure
```
data_SmTh3Hg4
_chemical_formula_sum 'Sm1 Th3 Hg4'
_space_group_name_H-M_alt 'P 4/m m m'
_space_group_IT_number 123
_space_group_name_Hall '-P 4 2'
_cell_length_a 3.7918
_cell_length_b 3.7918
_cell_length_c 15.4783
_cell_angle_alpha 90.00
_cell_angle_beta 90.00
_cell_angle_gamma 90.00
loop_
_atom_site_label
_atom_site_fract_x
_atom_site_fract_y
_atom_site_fract_z
_atom_site_occupancy
Sm1 0.0000 0.0000 0.0000 1
Th1 0.0000 0.0000 0.2487 1
Th2 0.0000 0.0000 0.5000 1
Hg1 0.5000 0.5000 0.1185 1
Hg2 0.5000 0.5000 0.3737 1
```